No. 1
This entry pairs a crystal structure of YSi3NiRu with its simulated powder diffractogram. Radiation: λ = 1.5418 Å (Cu Kα). Structure: a crystal structure in Alexandria, relaxed with PBE.
Neutral-atom scattering factors, no anomalous dispersion.

Cell and atoms:
a = 6.0981 Å, b = 12.8129 Å, c = 5.5347 Å
α = 90.00°, β = 90.00°, γ = 90.00°
Space group Cmcm (No. 63)
One atom of each set of equivalent atoms:
Y (0.0000, 0.2188, 0.2500)
Si (0.0000, 0.2779, 0.7500)
Si (0.1975, 0.0000, 0.0000)
Ni (0.0000, 0.1113, 0.7500)
Ru (0.0000, 0.4506, 0.7500)

Peak list (8 most intense, 2θ from 15° to 90°, sorted by position)
two_theta, I/Imax, h k l
25.5, 26.8, 1 3 0
29.3, 44.4, 2 0 0
30.2, 100.0, 1 3 1
32.4, 30.8, 0 0 2
41.6, 27.9, 1 3 2
44.2, 52.6, 2 0 2
45.5, 30.4, 0 6 1
55.1, 33.9, 2 6 1

***

No. 2
This entry pairs a crystal structure of Ce4Th2Si3H2 with its simulated powder diffractogram. Radiation: λ = 1.5418 Å (Cu Kα). Structure: a crystal structure in Alexandria, relaxed with PBE.
Neutral-atom scattering factors, no anomalous dispersion.

Cell and atoms:
a = 4.4336 Å, b = 4.4336 Å, c = 24.4741 Å
α = 90.00°, β = 90.00°, γ = 90.00°
Space group I4/mmm (No. 139)
One atom of each set of equivalent atoms:
Ce (0.0000, 0.5000, 0.0796)
Th (0.0000, 0.0000, 0.2028)
Si (0.0000, 0.0000, 0.3292)
Si (0.0000, 0.0000, 0.5000)
H (0.0000, 0.0000, 0.1077)

Peak list (8 most intense, 2θ from 15° to 90°, sorted by position)
two_theta, I/Imax, h k l
22.8, 41.2, 1 0 3
27.1, 37.7, 1 0 5
29.4, 100.0, 1 1 2
32.1, 28.5, 1 1 4
32.6, 32.5, 1 0 7
36.1, 67.8, 1 1 6
40.7, 55.1, 2 0 0
53.6, 31.3, 1 1 12

***

No. 3
This entry pairs a crystal structure of LaTmThSc with its simulated powder diffractogram. Radiation: λ = 1.5418 Å (Cu Kα). Structure: a crystal structure in Alexandria, relaxed with PBE.
Neutral-atom scattering factors, no anomalous dispersion.

Cell and atoms:
a = 3.5808 Å, b = 3.5808 Å, c = 9.6106 Å
α = 90.00°, β = 90.00°, γ = 90.00°
Space group P4mm (No. 99)
One atom of each set of equivalent atoms:
La (0.0000, 0.0000, 0.0000)
Tm (0.5000, 0.5000, 0.7287)
Th (0.0000, 0.0000, 0.4815)
Sc (0.5000, 0.5000, 0.2510)

Peak list (8 most intense, 2θ from 15° to 90°, sorted by position)
two_theta, I/Imax, h k l
31.1, 100.0, 1 0 2
35.5, 36.0, 1 1 0
37.4, 14.7, 0 0 4
51.0, 12.8, 2 0 0
52.5, 22.3, 1 1 4
61.0, 29.6, 2 1 2
65.0, 11.7, 2 0 4
85.8, 16.4, 3 1 0

***

Copy entry 3 word for word.
This entry pairs a crystal structure of LaTmThSc with its simulated powder diffractogram. Radiation: λ = 1.5418 Å (Cu Kα). Structure: a crystal structure in Alexandria, relaxed with PBE.
Neutral-atom scattering factors, no anomalous dispersion.

Cell and atoms:
a = 3.5808 Å, b = 3.5808 Å, c = 9.6106 Å
α = 90.00°, β = 90.00°, γ = 90.00°
Space group P4mm (No. 99)
One atom of each set of equivalent atoms:
La (0.0000, 0.0000, 0.0000)
Tm (0.5000, 0.5000, 0.7287)
Th (0.0000, 0.0000, 0.4815)
Sc (0.5000, 0.5000, 0.2510)

Peak list (8 most intense, 2θ from 15° to 90°, sorted by position)
two_theta, I/Imax, h k l
31.1, 100.0, 1 0 2
35.5, 36.0, 1 1 0
37.4, 14.7, 0 0 4
51.0, 12.8, 2 0 0
52.5, 22.3, 1 1 4
61.0, 29.6, 2 1 2
65.0, 11.7, 2 0 4
85.8, 16.4, 3 1 0

***

Please write out number 2 again, unchanged.
This entry pairs a crystal structure of Ce4Th2Si3H2 with its simulated powder diffractogram. Radiation: λ = 1.5418 Å (Cu Kα). Structure: a crystal structure in Alexandria, relaxed with PBE.
Neutral-atom scattering factors, no anomalous dispersion.

Cell and atoms:
a = 4.4336 Å, b = 4.4336 Å, c = 24.4741 Å
α = 90.00°, β = 90.00°, γ = 90.00°
Space group I4/mmm (No. 139)
One atom of each set of equivalent atoms:
Ce (0.0000, 0.5000, 0.0796)
Th (0.0000, 0.0000, 0.2028)
Si (0.0000, 0.0000, 0.3292)
Si (0.0000, 0.0000, 0.5000)
H (0.0000, 0.0000, 0.1077)

Peak list (8 most intense, 2θ from 15° to 90°, sorted by position)
two_theta, I/Imax, h k l
22.8, 41.2, 1 0 3
27.1, 37.7, 1 0 5
29.4, 100.0, 1 1 2
32.1, 28.5, 1 1 4
32.6, 32.5, 1 0 7
36.1, 67.8, 1 1 6
40.7, 55.1, 2 0 0
53.6, 31.3, 1 1 12

***

Repeat the second record exactly.
This entry pairs a crystal structure of Ce4Th2Si3H2 with its simulated powder diffractogram. Radiation: λ = 1.5418 Å (Cu Kα). Structure: a crystal structure in Alexandria, relaxed with PBE.
Neutral-atom scattering factors, no anomalous dispersion.

Cell and atoms:
a = 4.4336 Å, b = 4.4336 Å, c = 24.4741 Å
α = 90.00°, β = 90.00°, γ = 90.00°
Space group I4/mmm (No. 139)
One atom of each set of equivalent atoms:
Ce (0.0000, 0.5000, 0.0796)
Th (0.0000, 0.0000, 0.2028)
Si (0.0000, 0.0000, 0.3292)
Si (0.0000, 0.0000, 0.5000)
H (0.0000, 0.0000, 0.1077)

Peak list (8 most intense, 2θ from 15° to 90°, sorted by position)
two_theta, I/Imax, h k l
22.8, 41.2, 1 0 3
27.1, 37.7, 1 0 5
29.4, 100.0, 1 1 2
32.1, 28.5, 1 1 4
32.6, 32.5, 1 0 7
36.1, 67.8, 1 1 6
40.7, 55.1, 2 0 0
53.6, 31.3, 1 1 12